Record 1
Simulated powder diffraction line list
Compound: Rb2TlAs
Radiation: Cu Kα (weighted mean of Kα1 and Kα2)
Structure: a GGA-PBE-relaxed structure

Structure:
Unit cell a=7.363 b=4.514 c=10.453 alpha=90.00 beta=107.48 gamma=90.00
Space group P2_1/m (No. 11)
Inequivalent atoms, fractional coordinates:
Rb (0.197, 0.250, 0.414) (multiplicity 2)
Rb (0.256, 0.750, 0.062) (multiplicity 2)
Tl (0.353, 0.750, 0.724) (multiplicity 2)
As (0.152, 0.250, 0.782) (multiplicity 2)

Most intense lines, 15 to 90 degrees two-theta, by angle:
- hkl 0 0 2, 2θ = 17.8°, rel. 24
- hkl 0 1 1, 2θ = 21.6°, rel. 21
- hkl 2 0 0, 2θ = 25.4°, rel. 24
- hkl 1 0 -3, 2θ = 26.0°, rel. 30
- hkl 1 1 1, 2θ = 26.4°, rel. 52
- hkl 0 1 2, 2θ = 26.6°, rel. 41
- hkl 2 1 0, 2θ = 32.3°, rel. 49
- hkl 1 1 -3, 2θ = 32.8°, rel. 44
- hkl 1 0 3, 2θ = 33.1°, rel. 100
- hkl 0 2 0, 2θ = 39.9°, rel. 28
- hkl 1 1 -5, 2θ = 47.9°, rel. 29
- hkl 1 2 3, 2θ = 52.8°, rel. 22

Record 2
Simulated powder diffraction line list
Compound: Rb6VAs4
Radiation: Cu Kα (weighted mean of Kα1 and Kα2)
Structure: a GGA-PBE-relaxed structure

Structure:
Unit cell a=10.6927 b=10.6927 c=8.6109 alpha=90.00 beta=90.00 gamma=120.00
Space group P6_3mc (No. 186)
Inequivalent atoms, fractional coordinates:
Rb (0.0641, 0.5321, 0.0000) (multiplicity 6)
Rb (0.1446, 0.2891, 0.3178) (multiplicity 6)
V (0.3333, 0.6667, 0.6082) (multiplicity 2)
As (0.2097, 0.4195, 0.6955) (multiplicity 6)
As (0.3333, 0.6667, 0.3317) (multiplicity 2)

Most intense lines, 15 to 90 degrees two-theta, by angle:
- hkl 1 0 2, 2θ = 22.8°, rel. 19
- hkl 2 1 1, 2θ = 27.5°, rel. 100
- hkl 2 0 2, 2θ = 28.3°, rel. 95
- hkl 3 0 1, 2θ = 30.8°, rel. 64
- hkl 1 0 3, 2θ = 32.7°, rel. 39
- hkl 2 1 2, 2θ = 33.0°, rel. 28
- hkl 2 2 0, 2θ = 33.5°, rel. 61
- hkl 2 0 3, 2θ = 36.8°, rel. 17
- hkl 3 2 2, 2θ = 47.7°, rel. 16
- hkl 5 0 1, 2θ = 50.4°, rel. 23
- hkl 3 2 3, 2θ = 53.7°, rel. 36
- hkl 2 2 6, 2θ = 75.1°, rel. 18

Record 3
Simulated powder diffraction line list
Compound: Rb3Zn2As2
Radiation: Cu Kα (weighted mean of Kα1 and Kα2)
Structure: a GGA-PBE-relaxed structure

Structure:
Unit cell a=6.798 b=9.424 c=13.858 alpha=90.00 beta=90.00 gamma=90.00
Space group Pbcm (No. 57)
Inequivalent atoms, fractional coordinates:
Rb (0.106, 0.144, 0.110) (multiplicity 8)
Rb (0.320, 0.706, 0.750) (multiplicity 4)
Zn (0.394, 0.014, 0.584) (multiplicity 8)
As (0.227, 0.055, 0.750) (multiplicity 4)
As (0.415, 0.750, 0.000) (multiplicity 4)

Most intense lines, 15 to 90 degrees two-theta, by angle:
- hkl 1 2 1, 2θ = 23.9°, rel. 40
- hkl 0 2 3, 2θ = 27.0°, rel. 61
- hkl 2 1 0, 2θ = 27.9°, rel. 80
- hkl 2 0 2, 2θ = 29.3°, rel. 38
- hkl 1 1 4, 2θ = 30.5°, rel. 55
- hkl 1 3 0, 2θ = 31.4°, rel. 44
- hkl 1 3 1, 2θ = 32.0°, rel. 80
- hkl 2 1 3, 2θ = 34.1°, rel. 100
- hkl 1 2 4, 2θ = 34.7°, rel. 49
- hkl 1 4 0, 2θ = 40.5°, rel. 42
- hkl 3 3 3, 2θ = 53.7°, rel. 33
- hkl 1 3 7, 2θ = 56.6°, rel. 32

Record 4
Simulated powder diffraction line list
Compound: Rb3ZnAs2
Radiation: Cu Kα (weighted mean of Kα1 and Kα2)
Structure: a GGA-PBE-relaxed structure

Structure:
Unit cell a=7.758 b=14.348 c=9.405 alpha=90.00 beta=90.00 gamma=90.00
Space group Ibam (No. 72)
Inequivalent atoms, fractional coordinates:
Rb (0.000, 0.000, 0.250) (multiplicity 4)
Rb (0.000, 0.275, 0.250) (multiplicity 8)
Zn (0.000, 0.500, 0.000) (multiplicity 4)
As (0.229, 0.392, 0.000) (multiplicity 8)

Most intense lines, 15 to 90 degrees two-theta, by angle:
- hkl 1 2 1, 2θ = 19.3°, rel. 100
- hkl 0 2 2, 2θ = 22.6°, rel. 51
- hkl 2 0 0, 2θ = 23.0°, rel. 87
- hkl 1 3 2, 2θ = 29.0°, rel. 90
- hkl 2 0 2, 2θ = 29.9°, rel. 86
- hkl 0 4 2, 2θ = 31.4°, rel. 58
- hkl 1 2 3, 2θ = 33.3°, rel. 29
- hkl 2 4 0, 2θ = 34.0°, rel. 100
- hkl 0 0 4, 2θ = 38.3°, rel. 60
- hkl 3 3 2, 2θ = 44.2°, rel. 36
- hkl 1 7 2, 2θ = 49.9°, rel. 34
- hkl 2 4 4, 2θ = 52.1°, rel. 57

Record 5
Simulated powder diffraction line list
Compound: RbZn3As2
Radiation: Cu Kα (weighted mean of Kα1 and Kα2)
Structure: a GGA-PBE-relaxed structure

Structure:
Unit cell a=16.295 b=4.138 c=10.100 alpha=90.00 beta=118.96 gamma=90.00
Space group C2/m (No. 12)
Inequivalent atoms, fractional coordinates:
Rb (0.136, 0.000, 0.048) (multiplicity 4)
Zn (0.083, 0.500, 0.681) (multiplicity 4)
Zn (0.095, 0.000, 0.416) (multiplicity 4)
Zn (0.219, 0.500, 0.406) (multiplicity 4)
As (0.043, 0.500, 0.248) (multiplicity 4)
As (0.169, 0.000, 0.704) (multiplicity 4)

Most intense lines, 15 to 90 degrees two-theta, by angle:
- hkl 2 0 -3, 2θ = 26.6°, rel. 29
- hkl 1 1 -2, 2θ = 28.1°, rel. 100
- hkl 4 0 -3, 2θ = 28.5°, rel. 59
- hkl 3 1 0, 2θ = 28.6°, rel. 58
- hkl 0 0 3, 2θ = 30.3°, rel. 29
- hkl 3 1 1, 2θ = 33.3°, rel. 32
- hkl 5 1 -2, 2θ = 35.4°, rel. 60
- hkl 3 1 2, 2θ = 40.3°, rel. 32
- hkl 0 2 0, 2θ = 43.8°, rel. 58
- hkl 8 0 -2, 2θ = 44.7°, rel. 28
- hkl 3 1 3, 2θ = 48.8°, rel. 42
- hkl 5 1 -5, 2θ = 50.8°, rel. 54

Record 6
Simulated powder diffraction line list
Compound: RbZn6As4
Radiation: Cu Kα (weighted mean of Kα1 and Kα2)
Structure: a GGA-PBE-relaxed structure

Structure:
Unit cell a=4.388 b=4.388 c=25.873 alpha=90.00 beta=90.00 gamma=90.00
Space group I4/mmm (No. 139)
Inequivalent atoms, fractional coordinates:
Rb (0.000, 0.000, 0.000) (multiplicity 2)
Zn (0.000, 0.500, 0.135) (multiplicity 8)
Zn (0.000, 0.500, 0.250) (multiplicity 4)
As (0.000, 0.000, 0.197) (multiplicity 4)
As (0.000, 0.000, 0.415) (multiplicity 4)

Most intense lines, 15 to 90 degrees two-theta, by angle:
- hkl 1 0 5, 2θ = 26.6°, rel. 100
- hkl 1 1 2, 2θ = 29.6°, rel. 26
- hkl 1 1 4, 2θ = 32.0°, rel. 13
- hkl 1 1 8, 2θ = 40.3°, rel. 61
- hkl 2 0 0, 2θ = 41.1°, rel. 73
- hkl 1 1 10, 2θ = 45.7°, rel. 65
- hkl 2 1 5, 2θ = 49.7°, rel. 35
- hkl 2 0 8, 2θ = 50.3°, rel. 13
- hkl 2 2 0, 2θ = 59.6°, rel. 24
- hkl 3 1 8, 2θ = 74.4°, rel. 18
- hkl 3 1 10, 2θ = 78.2°, rel. 25
- hkl 2 0 18, 2θ = 79.8°, rel. 12